# Pr4Cd5Au6
Calculated powder diffractogram, a wavelength of 1.5418 Å. Input: a GGA-PBE-relaxed structure.
Peak positions follow from Bragg's law for the DFT cell and can differ from measured ones.

Structural model:
```
data_Pr4Cd5Au6
_chemical_formula_sum 'Pr16 Cd20 Au24'
_cell_length_a 4.145
_cell_length_b 23.096
_cell_length_c 15.474
_cell_angle_alpha 90.00
_cell_angle_beta 90.00
_cell_angle_gamma 90.00
_symmetry_space_group_name_H-M 'C m c 21'
_symmetry_Int_Tables_number 36
_symmetry_space_group_name_Hall 'C 2c -2'
loop_
_atom_site_label
_atom_site_fract_x
_atom_site_fract_y
_atom_site_fract_z
Pr1 0.000 0.027 0.000
Pr2 0.000 0.054 0.272
Pr3 0.000 0.134 0.775
Pr4 0.000 0.181 0.438
Cd1 0.000 0.180 0.110
Cd2 0.000 0.311 0.110
Cd3 0.000 0.322 0.764
Cd4 0.000 0.357 0.455
Cd5 0.000 0.466 0.158
Au1 0.000 0.098 0.582
Au2 0.000 0.225 0.934
Au3 0.000 0.266 0.282
Au4 0.000 0.410 0.625
Au5 0.000 0.423 0.926
Au6 0.000 0.460 0.345
```

Top 10 peaks for 15 to 90 degrees two-theta, low angle first:
29.52 deg, rel. 24, hkl 1 5 1
31.21 deg, rel. 29, hkl 1 5 2
31.88 deg, rel. 32, hkl 1 1 4
33.84 deg, rel. 100, hkl 1 5 3
34.78 deg, rel. 29, hkl 0 0 6
35.25 deg, rel. 23, hkl 1 7 1
37.28 deg, rel. 37, hkl 1 5 4
39.01 deg, rel. 37, hkl 1 7 3
39.45 deg, rel. 26, hkl 0 10 1
43.67 deg, rel. 41, hkl 2 0 0